For KIn2Au2, the GGA-PBE geometry in OQMD gives the theoretical powder X-ray diffraction pattern in this record (Cu Kα X-rays).
Intensities are scaled so that the largest is 100.

Top 10 peaks for 10° ≤ 2θ ≤ 90°, sorted by position:
2θ/deg, intensity, hkl
16.7, 100, 0 0 2
29.7, 90, 1 1 2
30.7, 38, 1 0 3
34.7, 93, 2 0 0
38.8, 52, 2 0 2
42.1, 78, 1 1 4
49.9, 33, 2 2 0
58.0, 33, 1 1 6
59.2, 27, 3 1 2
67.3, 39, 3 1 4

Atomic structure:
```
data_KIn2Au2
_cell_length_a 5.168
_cell_length_b 5.168
_cell_length_c 10.597
_cell_angle_alpha 90.00
_cell_angle_beta 90.00
_cell_angle_gamma 90.00
_space_group_name_H-M_alt 'I 4/m m m'
_space_group_IT_number 139
_space_group_name_Hall '-I 4 2'
loop_
_atom_site_label
_atom_site_fract_x
_atom_site_fract_y
_atom_site_fract_z
K1 0.000 0.000 0.000
In1 0.000 0.000 0.356
Au1 0.000 0.500 0.250
```